This entry pairs a crystal structure of Nd2ErAgTe5 with its theoretical X-ray diffraction stick pattern. Radiation: Cu Kα X-rays. Structure: a cell relaxed with GGA-PBE.

Main lines, low angle first (2θ = 5–70°):
| 2θ/deg | I (rel.) |
| --- | --- |
| 24.8 | 15 |
| 29.1 | 100 |
| 34.1 | 47 |
| 36.8 | 8 |
| 37.4 | 13 |
| 39.8 | 8 |
| 40.5 | 8 |
| 41.2 | 23 |
| 41.9 | 9 |
| 51.2 | 13 |

Crystal structure
```
18
Lattice="2.193 -9.459 0.000 2.193 9.459 0.000 0.000 0.000 13.293" Properties=species:S:1:pos:R:3 pbc="T T T"
Nd 2.193 7.359 6.647
Nd 2.193 7.082 1.566
Nd 2.193 -7.082 8.213
Nd 2.193 -7.359 0.000
Er 2.193 5.827 10.928
Er 2.193 -5.827 4.282
Ag 2.193 1.309 3.633
Ag 2.193 -1.309 10.280
Te 2.193 8.646 11.834
Te 2.193 4.051 6.379
Te 2.193 3.686 2.056
Te 2.193 2.732 10.797
Te 2.193 0.026 7.876
Te 2.193 -0.026 1.229
Te 2.193 -2.732 4.150
Te 2.193 -3.686 8.702
Te 2.193 -4.051 13.026
Te 2.193 -8.646 5.187
```